This entry pairs a crystal structure of Li4TiFe3Sn2P6O24 with its calculated X-ray powder pattern. Radiation: Cu Kα (weighted mean of Kα1 and Kα2). Structure: a crystal structure in Alexandria, relaxed with GGA+U.
Intensities are scaled so that the largest is 100.

The 12 most intense peaks (10 to 80 degrees two-theta), low angle first:
d (Å)  I (rel.)  (hkl)
4.344  95  1 1 -1
4.288  100  1 -2 1
4.248  100  2 -1 0
3.848  99  1 -2 0
3.779  76  -2 1 1
3.705  88  1 -2 2
2.966  74  1 1 1
2.935  99  -2 1 2
2.898  62  1 1 -3
2.849  58  1 -2 3
2.480  64  3 0 -1
2.450  63  3 -3 1

Crystal structure
```
data_Li4TiFe3Sn2P6O24
_space_group_name_H-M_alt 'P 1'
_space_group_IT_number 1
_cell_length_a 8.4990
_cell_length_b 8.5874
_cell_length_c 9.2307
_cell_angle_alpha 115.63
_cell_angle_beta 91.55
_cell_angle_gamma 118.85
loop_
_space_group_symop_operation_xyz
'x,y,z'
loop_
_atom_site_label
_atom_site_fract_x
_atom_site_fract_y
_atom_site_fract_z
_atom_site_occupancy
Li1 0.0000 0.0000 0.0000 1
Li2 0.0844 0.9682 0.4944 1
Li3 0.2453 0.6493 0.0103 1
Li4 0.5968 0.2583 0.9861 1
Ti1 0.0420 0.4789 0.2905 1
Fe1 0.2453 0.8802 0.8758 1
Fe2 0.5640 0.5565 0.8474 1
Fe3 0.7048 0.8427 0.3529 1
Sn1 0.4376 0.2805 0.4140 1
Sn2 0.8477 0.1299 0.7542 1
P1 0.1475 0.4010 0.6056 1
P2 0.3443 0.3992 0.1038 1
P3 0.4247 0.9641 0.5727 1
P4 0.6617 0.0060 0.0981 1
P5 0.8595 0.6988 0.5978 1
P6 0.9381 0.6906 0.1027 1
O1 0.0213 0.1815 0.5842 1
O2 0.0238 0.8602 0.7597 1
O3 0.0319 0.5824 0.1332 1
O4 0.0689 0.8291 0.0398 1
O5 0.0821 0.3879 0.4400 1
O6 0.1368 0.5564 0.7614 1
O7 0.1422 0.3304 0.1336 1
O8 0.2803 0.7391 0.4273 1
O9 0.3499 0.2053 0.0176 1
O10 0.3553 0.4522 0.6281 1
O11 0.3639 0.1033 0.5576 1
O12 0.3668 0.4988 0.9930 1
O13 0.4397 0.9876 0.7477 1
O14 0.4516 0.9198 0.0334 1
O15 0.4935 0.5506 0.2773 1
O16 0.6238 0.0304 0.5488 1
O17 0.6995 0.0080 0.2600 1
O18 0.6993 0.5243 0.6194 1
O19 0.7237 0.8812 0.9595 1
O20 0.7378 0.5167 0.9715 1
O21 0.7806 0.2377 0.1371 1
O22 0.7879 0.8225 0.5667 1
O23 0.9205 0.6063 0.4434 1
O24 0.9234 0.8236 0.2714 1
```